Structure and computed X-ray diffraction stick pattern of DyIn12Hg6 (a GGA-PBE-relaxed structure; Cu Ka).
No peak broadening, texture or thermal motion is included.

Principal peaks in the range 15 to 90 degrees two-theta, sorted by position:
hkl 1 1 3, 24.75 deg, I 18
hkl 3 0 0, 27.26 deg, I 26
hkl 0 2 4, 31.44 deg, I 61
hkl 2 2 0, 31.58 deg, I 18
hkl 0 1 5, 33.34 deg, I 15
hkl 4 -3 1, 33.54 deg, I 100
hkl 2 1 4, 35.33 deg, I 88
hkl 2 0 5, 37.02 deg, I 24
hkl 4 -2 3, 37.17 deg, I 69
hkl 1 2 5, 40.41 deg, I 19
hkl 6 -2 5, 59.89 deg, I 25
hkl 7 -5 3, 62.32 deg, I 14

Unit cell a=11.3314 b=11.3314 c=13.9727 alpha=90.00 beta=90.00 gamma=120.00
Space group R-3 (No. 148, hexagonal axes)
One atom of each set of equivalent atoms:
1 Dy 0.0000 0.0000 0.0000 [3 per cell]
2 In 0.0468 0.1847 0.4040 [18 per cell]
3 In 0.0998 0.2000 0.1821 [18 per cell]
4 Hg 0.0139 0.5364 0.6235 [18 per cell]